Record 1
Structure and computed PXRD pattern of Li3FeP2O8 (a DFT-relaxed cell (PBE+U, the Materials Project); Cu Kα).
Kinematic intensities with the Lorentz-polarization factor, no thermal factor.

Structural model:
```
56
Lattice="4.9442 0.0000 0.0000 0.0000 17.9148 0.0000 -4.6111 0.0000 6.3756" Properties=species:S:1:pos:R:3 pbc="T T T"
Li -1.2885 1.0066 1.7968
Li -3.5940 7.9508 4.9846
Li -3.2279 11.0377 6.3489
Li -0.9224 15.8345 3.1611
Li -1.3395 3.5683 4.3887
Li 0.9660 5.3891 1.2009
Li -0.6329 12.5257 5.1747
Li 1.6726 14.3465 1.9869
Li 1.2555 2.0803 3.2145
Li 3.5610 6.8771 0.0267
Li 3.9271 9.9641 1.3910
Li 1.6216 16.9082 4.5788
Fe -3.6554 2.2754 6.2836
Fe -1.3499 6.6820 3.0958
Fe 1.6830 11.2328 3.2798
Fe 3.9885 15.6394 0.0920
P -0.7406 12.8194 1.8458
P -3.0462 14.0529 5.0336
P -1.1400 0.6407 4.8940
P 1.1656 8.3167 1.7062
P -0.8325 9.5981 4.6694
P 1.4731 17.2741 1.4816
P 3.3793 3.8620 1.3420
P 1.0737 5.0954 4.5298
O -0.2417 12.0656 0.6216
O -2.5472 14.8067 3.8094
O -2.7844 12.5073 4.9040
O -0.4788 14.3649 1.7162
O -0.0379 3.5670 1.1376
O -2.3435 5.3904 4.3254
O -2.6562 1.0816 4.9145
O -0.3507 7.8758 1.7267
O -1.5706 10.1554 3.4150
O 0.7349 16.7169 0.2272
O -0.4925 1.1523 3.6211
O 1.8131 7.8052 0.4333
O 0.0452 12.3725 3.1224
O -2.2604 14.4998 6.3102
O 1.1360 9.8903 1.7520
O -1.1696 16.9820 4.9398
O 1.5027 0.9329 1.4358
O -0.8029 8.0245 4.6236
O 2.5935 3.4151 0.0654
O 0.2879 5.5424 3.2532
O -1.4800 10.1097 5.9423
O 0.8256 16.7626 2.7545
O -0.4018 1.1979 6.1485
O 1.9037 7.7595 2.9607
O 0.6838 10.0390 4.6489
O 2.9893 16.8332 1.4611
O 2.6766 12.5244 2.0502
O 0.3710 14.3478 5.2380
O 0.8119 3.5499 4.6594
O 3.1175 5.4075 1.4716
O 2.8803 3.1082 2.5662
O 0.5748 5.8493 5.7541
```

Most intense lines, 5 to 70 degrees two-theta, low angle first:
d = 6.007 Å, I = 883; d = 4.358 Å, I = 367; d = 3.725 Å, I = 303; d = 3.660 Å, I = 1000; d = 3.505 Å, I = 513; d = 3.327 Å, I = 290; d = 2.624 Å, I = 204; d = 2.597 Å, I = 615; d = 2.555 Å, I = 558; d = 2.446 Å, I = 164

***

Record 2
Structure and computed PXRD pattern of Li7Ni5O12 (a DFT-relaxed cell (PBE+U, the Materials Project); Cu Kα).
Kinematic intensities with the Lorentz-polarization factor, no thermal factor.

Structural model:
```
24
Lattice="2.4634 -4.2918 0.0000 2.4634 4.2918 0.0000 -1.6709 0.0000 9.4550" Properties=species:S:1:pos:R:3 pbc="T T T"
Li 0.0000 0.0000 0.0000
Li 0.7909 1.3877 2.3163
Li -0.0585 0.0054 7.1355
Li 0.7898 -1.4357 2.3290
Li 2.4648 1.3877 7.1387
Li 3.3143 0.0054 2.3195
Li 2.4660 -1.4357 7.1260
Ni 1.6279 2.8079 4.7275
Ni 2.4634 1.4322 0.0000
Ni 1.6279 -0.0295 4.7275
Ni 2.4634 -1.4299 0.0000
Ni 1.6279 -2.9095 4.7275
O 1.5762 2.7451 1.0397
O -0.0807 0.0213 3.6277
O 0.7060 1.4202 5.8061
O 1.6795 2.7451 8.4153
O 1.7714 -0.0009 1.0431
O 2.5498 1.4202 3.6489
O 0.7558 -1.5578 5.7611
O 1.4843 -0.0009 8.4119
O 1.5778 -2.7425 1.0313
O 2.5000 -1.5578 3.6939
O 3.3365 0.0213 5.8273
O 1.6780 -2.7425 8.4237
```

Most intense lines, 5 to 70 degrees two-theta, low angle first:
d = 9.455 Å, I = 131; d = 4.727 Å, I = 1000; d = 2.438 Å, I = 267; d = 2.426 Å, I = 125; d = 2.030 Å, I = 519; d = 2.020 Å, I = 253; d = 1.863 Å, I = 127; d = 1.569 Å, I = 95; d = 1.440 Å, I = 206; d = 1.424 Å, I = 136

***

Record 3
Structure and computed PXRD pattern of Fe2CoAs2H10O14 (a DFT-relaxed cell (PBE+U, the Materials Project); Cu Kα).
Kinematic intensities with the Lorentz-polarization factor, no thermal factor.

Structural model:
```
58
Lattice="10.7418 0.0000 0.0000 0.0000 9.4380 0.0000 -0.0201 0.0000 5.7259" Properties=species:S:1:pos:R:3 pbc="T T T"
Fe 0.4931 1.3063 0.8310
Fe 0.4830 3.4127 3.6940
Fe 10.2386 6.0253 2.0320
Fe 10.2286 8.1317 4.8949
Co 5.3608 0.0000 2.8630
Co 5.3709 4.7190 0.0000
As 2.3039 0.6902 3.8940
As 2.3139 4.0288 1.0310
As 8.4077 5.4092 4.6949
As 8.4178 8.7478 1.8319
H 0.9197 6.2079 5.6822
H 0.9297 7.9490 2.8192
H 2.6630 5.1999 4.7420
H 2.6731 8.9571 1.8790
H 4.1248 5.2509 3.2336
H 4.1348 8.9060 0.3706
H 4.3126 1.8343 1.5520
H 4.3025 2.8847 4.4150
H 4.6673 6.5719 3.9519
H 4.6774 7.5851 1.0889
H 6.0443 1.8529 4.6370
H 6.0543 2.8661 1.7740
H 6.4191 6.5533 1.3110
H 6.4091 7.6037 4.1739
H 6.5868 0.5320 5.3553
H 6.5969 4.1870 2.4924
H 8.0486 0.4809 3.8469
H 8.0586 4.2381 0.9839
H 9.7919 1.4889 2.9067
H 9.8020 3.2300 0.0437
O 0.3152 6.8183 0.4182
O 0.3051 7.3387 3.2812
O 1.0149 0.1392 4.9573
O 1.0249 4.5798 2.0943
O 1.8141 4.7730 5.1534
O 1.8241 9.3839 2.2905
O 2.1960 2.3339 0.8995
O 2.1860 2.3851 3.7624
O 3.7715 0.0184 4.3271
O 3.7816 4.7006 1.4642
O 4.1090 5.6916 4.1216
O 4.1190 8.4653 1.2586
O 5.0229 1.7720 2.2202
O 5.0128 2.9470 5.0831
O 5.7088 6.4909 0.6428
O 5.6988 7.6660 3.5058
O 6.6026 0.9726 4.4673
O 6.6127 3.7463 1.6044
O 6.9401 4.7374 4.2618
O 6.9501 9.4196 1.3988
O 8.5357 7.0529 1.9635
O 8.5256 7.1041 4.8265
O 8.8976 0.0540 3.4355
O 8.9076 4.6649 0.5725
O 9.6967 4.8582 3.6317
O 9.7068 9.2988 0.7687
O 10.4165 2.0993 2.4447
O 10.4065 2.6197 5.3077
```

Most intense lines, 5 to 70 degrees two-theta, low angle first:
d = 10.742 Å, I = 671; d = 7.090 Å, I = 899; d = 4.895 Å, I = 246; d = 4.719 Å, I = 351; d = 4.668 Å, I = 243; d = 4.450 Å, I = 1000; d = 3.014 Å, I = 844; d = 2.894 Å, I = 712; d = 2.550 Å, I = 212; d = 2.182 Å, I = 272

***

Record 4
Structure and computed PXRD pattern of Li3Fe2CuO6 (a DFT-relaxed cell (PBE+U, the Materials Project); Cu Kα).
Kinematic intensities with the Lorentz-polarization factor, no thermal factor.

Structural model:
```
12
Lattice="6.5206 -1.4896 0.0000 6.5206 1.4896 0.0000 -1.4307 0.0000 5.7928" Properties=species:S:1:pos:R:3 pbc="T T T"
Li 0.0000 0.0000 0.0000
Li 3.4348 0.0000 3.8626
Li 8.1756 0.0000 1.9302
Fe 4.1259 0.0000 0.9780
Fe 7.4846 0.0000 4.8148
Cu -0.7154 0.0000 2.8964
O 1.2522 0.0000 3.4411
O 2.1177 0.0000 0.4179
O 6.1034 0.0000 1.5237
O 5.5070 0.0000 4.2691
O 9.4927 0.0000 5.3749
O 10.3582 0.0000 2.3517
```

Most intense lines, 5 to 70 degrees two-theta, low angle first:
d = 4.898 Å, I = 1000; d = 2.537 Å, I = 450; d = 2.449 Å, I = 55; d = 2.434 Å, I = 103; d = 2.109 Å, I = 794; d = 1.940 Å, I = 109; d = 1.626 Å, I = 96; d = 1.497 Å, I = 146; d = 1.491 Å, I = 146; d = 1.485 Å, I = 146